[1]
The following is a calculated X-ray powder pattern of Pm3GaNi8. It was derived from a structure optimized by DFT (GGA-PBE), using Cu Kα.
Neutral-atom scattering factors, no anomalous dispersion.

Top 10 peaks for 10° ≤ 2θ ≤ 80°, by angle:
- 21.5 deg, 4.134 Å, rel. 76
- 32.5 deg, 2.753 Å, rel. 80
- 35.5 deg, 2.532 Å, rel. 695
- 41.8 deg, 2.160 Å, rel. 1000
- 41.9 deg, 2.156 Å, rel. 305
- 43.8 deg, 2.069 Å, rel. 214
- 63.6 deg, 1.463 Å, rel. 186
- 68.0 deg, 1.379 Å, rel. 286
- 74.9 deg, 1.267 Å, rel. 157
- 75.1 deg, 1.264 Å, rel. 117

Crystal structure
```
Pm3GaNi8
1.0
2.5343 1.4632 8.2495
-2.5343 1.4632 8.2495
0.0000 -2.9264 8.2495
Pm Ga Ni
3 1 8
Direct
0.0000 0.0000 0.0000
0.1291 0.1291 0.1291
0.6131 0.6131 0.6131
0.4881 0.4881 0.4881
0.0582 0.0582 0.5626
0.0582 0.5626 0.0582
0.0646 0.5617 0.5617
0.3113 0.3113 0.3113
0.5617 0.0646 0.5617
0.5617 0.5617 0.0646
0.5626 0.0582 0.0582
0.8117 0.8117 0.8117
```


[2]
The following is a calculated X-ray powder pattern of PmGa6Ni6. It was derived from a structure optimized by DFT (GGA-PBE), using Cu Kα.
Neutral-atom scattering factors, no anomalous dispersion.

Top 10 peaks for 10° ≤ 2θ ≤ 80°, by angle:
- 35.7 deg, 2.517 Å, rel. 618
- 36.9 deg, 2.434 Å, rel. 191
- 41.4 deg, 2.180 Å, rel. 608
- 41.9 deg, 2.155 Å, rel. 1000
- 42.5 deg, 2.126 Å, rel. 352
- 43.4 deg, 2.086 Å, rel. 310
- 47.0 deg, 1.932 Å, rel. 531
- 68.3 deg, 1.373 Å, rel. 214
- 75.5 deg, 1.259 Å, rel. 176
- 78.6 deg, 1.217 Å, rel. 279

Crystal structure
```
PmGa6Ni6
1.0
-2.5155 4.1714 4.3640
2.5155 -4.1714 4.3640
2.5155 4.1714 -4.3640
Pm Ga Ni
1 6 6
Direct
0.0000 0.0000 0.0000
0.1895 0.6895 0.5000
0.3439 0.0000 0.3439
0.3466 0.3466 0.0000
0.6534 0.6534 0.0000
0.6561 0.0000 0.6561
0.8105 0.3105 0.5000
0.0000 0.0000 0.5000
0.0000 0.5000 0.0000
0.2390 0.5000 0.7390
0.5000 0.0000 0.0000
0.5000 0.5000 0.5000
0.7610 0.5000 0.2610
```


[3]
The following is a calculated X-ray powder pattern of Pm2Ga5Ni. It was derived from a structure optimized by DFT (GGA-PBE), using Cu Kα.
Neutral-atom scattering factors, no anomalous dispersion.

Top 10 peaks for 10° ≤ 2θ ≤ 80°, by angle:
- 28.6 deg, 3.119 Å, rel. 499
- 32.9 deg, 2.724 Å, rel. 152
- 35.5 deg, 2.526 Å, rel. 1000
- 39.9 deg, 2.262 Å, rel. 299
- 42.0 deg, 2.153 Å, rel. 439
- 51.6 deg, 1.772 Å, rel. 128
- 59.2 deg, 1.560 Å, rel. 310
- 69.6 deg, 1.351 Å, rel. 138
- 72.5 deg, 1.304 Å, rel. 167
- 75.2 deg, 1.263 Å, rel. 127

Crystal structure
```
Pm2Ga5Ni
1.0
6.0906 0.0000 0.0000
0.0000 6.0906 0.0000
0.0000 0.0000 4.5241
Pm Ga Ni
2 5 1
Direct
0.0000 0.5000 0.0000
0.5000 0.0000 0.0000
0.0000 0.0000 0.0000
0.2860 0.2860 0.5000
0.2860 0.7140 0.5000
0.7140 0.2860 0.5000
0.7140 0.7140 0.5000
0.0000 0.0000 0.5000
```


[4]
The following is a calculated X-ray powder pattern of Pm2Ga5Ni3. It was derived from a structure optimized by DFT (GGA-PBE), using Cu Kα.
Neutral-atom scattering factors, no anomalous dispersion.

Top 10 peaks for 10° ≤ 2θ ≤ 80°, by angle:
- 34.1 deg, 2.627 Å, rel. 859
- 34.5 deg, 2.600 Å, rel. 968
- 36.7 deg, 2.452 Å, rel. 1000
- 39.8 deg, 2.263 Å, rel. 230
- 40.2 deg, 2.246 Å, rel. 324
- 43.5 deg, 2.080 Å, rel. 910
- 45.4 deg, 1.997 Å, rel. 194
- 50.7 deg, 1.802 Å, rel. 208
- 58.4 deg, 1.580 Å, rel. 206
- 76.9 deg, 1.240 Å, rel. 193

Crystal structure
```
Pm2Ga5Ni3
1.0
-4.9973 6.1749 2.8136
4.9973 -6.1749 2.8136
4.9973 6.1749 -2.8136
Pm Ga Ni
4 10 6
Direct
0.1391 0.2243 0.3634
0.3609 0.7243 0.0852
0.6391 0.2757 0.9148
0.8609 0.7757 0.6366
0.0365 0.7500 0.2865
0.0924 0.6666 0.7590
0.2500 0.2500 0.0000
0.4076 0.1666 0.5743
0.4635 0.7500 0.7135
0.5365 0.2500 0.2865
0.5924 0.8334 0.4257
0.7500 0.7500 0.0000
0.9076 0.3334 0.2410
0.9635 0.2500 0.7135
0.1421 0.9031 0.0453
0.2500 0.7500 0.5000
0.3579 0.4031 0.7610
0.6421 0.5969 0.2390
0.7500 0.2500 0.5000
0.8579 0.0969 0.9547
```


[5]
The following is a calculated X-ray powder pattern of Pm2Ga5Ni4. It was derived from a structure optimized by DFT (GGA-PBE), using Cu Kα.
Neutral-atom scattering factors, no anomalous dispersion.

Top 10 peaks for 10° ≤ 2θ ≤ 80°, by angle:
- 26.1 deg, 3.416 Å, rel. 406
- 30.5 deg, 2.932 Å, rel. 606
- 34.4 deg, 2.605 Å, rel. 460
- 38.4 deg, 2.347 Å, rel. 1000
- 39.2 deg, 2.301 Å, rel. 579
- 41.3 deg, 2.186 Å, rel. 921
- 45.3 deg, 2.000 Å, rel. 320
- 47.6 deg, 1.912 Å, rel. 405
- 63.3 deg, 1.470 Å, rel. 479
- 71.4 deg, 1.322 Å, rel. 237

Crystal structure
```
Pm2Ga5Ni4
1.0
0.0000 4.5671 7.6479
2.6634 0.0000 7.6479
2.6634 4.5671 0.0000
Pm Ga Ni
2 5 4
Direct
0.1330 0.1330 0.8670
0.8670 0.8670 0.1330
0.0000 0.0000 0.5000
0.2500 0.2500 0.2500
0.5000 0.5000 0.0000
0.5000 0.5000 0.5000
0.7500 0.7500 0.7500
0.2136 0.5247 0.4753
0.4753 0.7864 0.2136
0.5247 0.2136 0.7864
0.7864 0.4753 0.5247
```


[6]
The following is a calculated X-ray powder pattern of Pm3Ga4Ni7. It was derived from a structure optimized by DFT (GGA-PBE), using Cu Kα.
Neutral-atom scattering factors, no anomalous dispersion.

Top 10 peaks for 10° ≤ 2θ ≤ 80°, by angle:
- 23.7 deg, 3.755 Å, rel. 314
- 31.2 deg, 2.870 Å, rel. 641
- 35.8 deg, 2.510 Å, rel. 385
- 36.2 deg, 2.484 Å, rel. 1000
- 36.6 deg, 2.455 Å, rel. 783
- 37.7 deg, 2.386 Å, rel. 916
- 38.1 deg, 2.362 Å, rel. 300
- 43.6 deg, 2.076 Å, rel. 384
- 44.1 deg, 2.056 Å, rel. 799
- 45.2 deg, 2.005 Å, rel. 325

Crystal structure
```
Pm3Ga4Ni7
1.0
7.3473 -2.0555 0.0000
7.3473 2.0555 0.0000
-5.2845 0.0000 7.5286
Pm Ga Ni
3 4 7
Direct
0.0000 0.0000 0.0000
0.3171 0.3171 0.3185
0.6829 0.6829 0.6815
0.1263 0.1263 0.3975
0.3243 0.3243 0.9838
0.6757 0.6757 0.0162
0.8737 0.8737 0.6025
0.0000 0.0000 0.5000
0.1108 0.1108 0.8306
0.3299 0.3299 0.7101
0.4954 0.4954 0.7041
0.5046 0.5046 0.2959
0.6701 0.6701 0.2899
0.8892 0.8892 0.1694
```


[7]
The following is a calculated X-ray powder pattern of PmPrGaNi. It was derived from a structure optimized by DFT (GGA-PBE), using Cu Kα.
Neutral-atom scattering factors, no anomalous dispersion.

Top 10 peaks for 10° ≤ 2θ ≤ 80°, by angle:
- 25.7 deg, 3.469 Å, rel. 370
- 31.4 deg, 2.853 Å, rel. 244
- 31.8 deg, 2.815 Å, rel. 1000
- 32.9 deg, 2.719 Å, rel. 550
- 37.7 deg, 2.389 Å, rel. 262
- 39.0 deg, 2.309 Å, rel. 510
- 41.3 deg, 2.184 Å, rel. 287
- 46.7 deg, 1.945 Å, rel. 201
- 53.8 deg, 1.703 Å, rel. 270
- 77.0 deg, 1.238 Å, rel. 172

Crystal structure
```
PmPrGaNi
1.0
4.3685 0.0000 0.0000
0.0000 1.9446 5.7061
0.0000 -1.9446 5.7061
Pm Pr Ga Ni
1 1 1 1
Direct
0.0000 0.0000 0.0000
0.5000 0.2826 0.2826
0.0000 0.7044 0.7044
0.5000 0.5764 0.5764
```


[8]
The following is a calculated X-ray powder pattern of PmGa3NiRu. It was derived from a structure optimized by DFT (GGA-PBE), using Cu Kα.
Neutral-atom scattering factors, no anomalous dispersion.

Top 10 peaks for 10° ≤ 2θ ≤ 80°, by angle:
- 23.6 deg, 3.764 Å, rel. 395
- 29.0 deg, 3.075 Å, rel. 381
- 31.9 deg, 2.808 Å, rel. 306
- 35.4 deg, 2.534 Å, rel. 226
- 37.1 deg, 2.421 Å, rel. 400
- 39.4 deg, 2.287 Å, rel. 1000
- 44.5 deg, 2.036 Å, rel. 477
- 48.4 deg, 1.882 Å, rel. 274
- 52.7 deg, 1.736 Å, rel. 201
- 64.7 deg, 1.440 Å, rel. 263

Crystal structure
```
PmGa3NiRu
1.0
3.7636 -5.3354 0.0000
3.7636 5.3354 0.0000
0.0000 0.0000 5.7596
Pm Ga Ni Ru
2 6 2 2
Direct
0.2154 0.7846 0.7500
0.7846 0.2154 0.2500
0.2475 0.2475 0.0000
0.2475 0.2475 0.5000
0.3061 0.6939 0.2500
0.6939 0.3061 0.7500
0.7525 0.7525 0.0000
0.7525 0.7525 0.5000
0.4774 0.5226 0.7500
0.5226 0.4774 0.2500
0.0812 0.9188 0.2500
0.9188 0.0812 0.7500
```


[9]
The following is a calculated X-ray powder pattern of PmScGa2Ni2. It was derived from a structure optimized by DFT (GGA-PBE), using Cu Kα.
Neutral-atom scattering factors, no anomalous dispersion.

Top 10 peaks for 10° ≤ 2θ ≤ 80°, by angle:
- 27.4 deg, 3.254 Å, rel. 426
- 35.8 deg, 2.505 Å, rel. 1000
- 39.8 deg, 2.266 Å, rel. 128
- 42.2 deg, 2.140 Å, rel. 726
- 51.1 deg, 1.788 Å, rel. 80
- 56.6 deg, 1.627 Å, rel. 258
- 59.4 deg, 1.556 Å, rel. 232
- 70.8 deg, 1.331 Å, rel. 127
- 73.1 deg, 1.295 Å, rel. 234
- 77.2 deg, 1.236 Å, rel. 114

Crystal structure
```
PmScGa2Ni2
1.0
4.2799 0.0000 0.0000
-2.1400 3.7065 0.0000
0.0000 0.0000 6.7990
Pm Sc Ga Ni
1 1 2 2
Direct
0.0000 0.0000 0.0000
0.0000 0.0000 0.5000
0.3333 0.6667 0.2918
0.6667 0.3333 0.7082
0.3333 0.6667 0.7001
0.6667 0.3333 0.2999
```


[10]
The following is a calculated X-ray powder pattern of Pm3Ga2SiNi9. It was derived from a structure optimized by DFT (GGA-PBE), using Cu Kα.
Neutral-atom scattering factors, no anomalous dispersion.

Top 10 peaks for 10° ≤ 2θ ≤ 80°, by angle:
- 27.7 deg, 3.218 Å, rel. 393
- 29.5 deg, 3.032 Å, rel. 444
- 33.0 deg, 2.715 Å, rel. 280
- 35.9 deg, 2.499 Å, rel. 731
- 40.9 deg, 2.207 Å, rel. 1000
- 47.9 deg, 1.898 Å, rel. 161
- 51.2 deg, 1.784 Å, rel. 271
- 57.3 deg, 1.609 Å, rel. 291
- 61.1 deg, 1.516 Å, rel. 258
- 76.2 deg, 1.249 Å, rel. 128

Crystal structure
```
Pm3Ga2SiNi9
1.0
6.0632 0.0000 0.0000
-3.0316 5.2509 0.0000
0.0000 0.0000 8.1440
Pm Ga Si Ni
3 2 1 9
Direct
0.0000 0.0000 0.0000
0.3333 0.6667 0.6680
0.6667 0.3333 0.3320
0.3333 0.6667 0.1938
0.6667 0.3333 0.8062
0.0000 0.0000 0.5000
0.0000 0.5000 0.0000
0.1340 0.2679 0.2897
0.1340 0.8660 0.2897
0.2679 0.1340 0.7103
0.5000 0.0000 0.0000
0.5000 0.5000 0.0000
0.7321 0.8660 0.2897
0.8660 0.1340 0.7103
0.8660 0.7321 0.7103
```


[11]
The following is a calculated X-ray powder pattern of Pm3Zn2GaNi6. It was derived from a structure optimized by DFT (GGA-PBE), using Cu Kα.
Neutral-atom scattering factors, no anomalous dispersion.

Top 10 peaks for 10° ≤ 2θ ≤ 80°, by angle:
- 28.9 deg, 3.089 Å, rel. 673
- 32.3 deg, 2.768 Å, rel. 399
- 33.6 deg, 2.668 Å, rel. 929
- 37.9 deg, 2.375 Å, rel. 378
- 40.2 deg, 2.245 Å, rel. 994
- 40.5 deg, 2.226 Å, rel. 1000
- 44.9 deg, 2.019 Å, rel. 732
- 47.3 deg, 1.921 Å, rel. 283
- 48.0 deg, 1.894 Å, rel. 325
- 70.6 deg, 1.334 Å, rel. 373

Crystal structure
```
Pm3Zn2GaNi6
1.0
5.3359 0.0000 0.0000
-2.6680 4.6211 0.0000
0.0000 0.0000 8.3048
Pm Zn Ga Ni
3 2 1 6
Direct
0.0000 0.0000 0.0000
0.3333 0.6667 0.6194
0.6667 0.3333 0.3806
0.3333 0.6667 0.0180
0.6667 0.3333 0.9820
0.0000 0.0000 0.5000
0.1780 0.3561 0.2754
0.1780 0.8220 0.2754
0.3561 0.1780 0.7246
0.6439 0.8220 0.2754
0.8220 0.1780 0.7246
0.8220 0.6439 0.7246
```


[12]
The following is a calculated X-ray powder pattern of Pm3Zn2GaNi9. It was derived from a structure optimized by DFT (GGA-PBE), using Cu Kα.
Neutral-atom scattering factors, no anomalous dispersion.

Top 10 peaks for 10° ≤ 2θ ≤ 80°, by angle:
- 23.7 deg, 3.756 Å, rel. 335
- 25.3 deg, 3.526 Å, rel. 713
- 31.0 deg, 2.889 Å, rel. 374
- 34.4 deg, 2.610 Å, rel. 330
- 40.7 deg, 2.216 Å, rel. 565
- 43.1 deg, 2.098 Å, rel. 1000
- 44.9 deg, 2.017 Å, rel. 334
- 47.5 deg, 1.914 Å, rel. 282
- 51.9 deg, 1.763 Å, rel. 273
- 72.4 deg, 1.305 Å, rel. 246

Crystal structure
```
Pm3Zn2GaNi9
1.0
5.2192 0.0000 0.0000
-2.6096 4.5200 0.0000
0.0000 0.0000 11.2692
Pm Zn Ga Ni
3 2 1 9
Direct
0.0000 0.0000 0.0000
0.3333 0.6667 0.7524
0.6667 0.3333 0.2476
0.3333 0.6667 0.1693
0.6667 0.3333 0.8307
0.0000 0.0000 0.5000
0.0000 0.5000 0.0000
0.1745 0.3489 0.3449
0.1745 0.8255 0.3449
0.3489 0.1745 0.6551
0.5000 0.0000 0.0000
0.5000 0.5000 0.0000
0.6511 0.8255 0.3449
0.8255 0.1745 0.6551
0.8255 0.6511 0.6551
```


[13]
The following is a calculated X-ray powder pattern of PrGa4Ni4. It was derived from a structure optimized by DFT (GGA-PBE), using Cu Kα.
Neutral-atom scattering factors, no anomalous dispersion.

Top 10 peaks for 10° ≤ 2θ ≤ 80°, by angle:
- 30.5 deg, 2.929 Å, rel. 225
- 35.4 deg, 2.534 Å, rel. 411
- 36.6 deg, 2.453 Å, rel. 1000
- 44.7 deg, 2.026 Å, rel. 185
- 45.1 deg, 2.012 Å, rel. 328
- 45.6 deg, 1.987 Å, rel. 187
- 49.9 deg, 1.828 Å, rel. 128
- 58.3 deg, 1.583 Å, rel. 204
- 65.1 deg, 1.433 Å, rel. 160
- 74.6 deg, 1.272 Å, rel. 124

Crystal structure
```
PrGa4Ni4
1.0
5.7309 0.0000 0.0000
0.0000 5.7309 0.0000
0.0000 0.0000 8.4760
Pr Ga Ni
2 8 8
Direct
0.2500 0.7500 0.2500
0.7500 0.2500 0.7500
0.0330 0.2500 0.0618
0.2500 0.0330 0.5618
0.2500 0.4670 0.5618
0.4670 0.2500 0.0618
0.5330 0.7500 0.9382
0.7500 0.5330 0.4382
0.7500 0.9670 0.4382
0.9670 0.7500 0.9382
0.0286 0.2500 0.3486
0.2500 0.0286 0.8486
0.2500 0.4714 0.8486
0.4714 0.2500 0.3486
0.5286 0.7500 0.6514
0.7500 0.5286 0.1514
0.7500 0.9714 0.1514
0.9714 0.7500 0.6514
```